The following is a computed powder diffractogram of LiBi3Br. It was derived from a cell relaxed with PBE, using Cu Ka.

Structure:
```
LiBi3Br
1.0
5.2632 0.0000 0.0000
0.0000 5.2632 0.0000
0.0000 0.0000 5.2632
Li Bi Br
1 3 1
direct
0.0000 0.0000 0.0000 Li
0.0000 0.0000 0.5000 Bi
0.0000 0.5000 0.0000 Bi
0.5000 0.0000 0.0000 Bi
0.5000 0.5000 0.5000 Br
```

Main lines, by angle (15 to 90 degrees two-theta):
two_theta	intensity
16.85	9
29.39	100
34.07	53
48.95	39
58.13	46
60.98	14
79.35	19
81.85	18